Calculated powder X-ray diffraction pattern
Compound: PmEr4Se6
Radiation: Cu Kα, 1.54184 Å
Structure: a cell relaxed with GGA-PBE
Intensities are scaled so that the largest is 100.

The 10 most intense peaks (2θ from 10° to 90°), sorted by position:
d = 3.509 Å, 2θ = 25.38°, rel. 55.3
d = 2.937 Å, 2θ = 30.43°, rel. 44.2
d = 2.852 Å, 2θ = 31.36°, rel. 100.0
d = 2.725 Å, 2θ = 32.86°, rel. 68.5
d = 2.698 Å, 2θ = 33.21°, rel. 33.3
d = 2.141 Å, 2θ = 42.21°, rel. 41.7
d = 2.036 Å, 2θ = 44.51°, rel. 33.2
d = 2.034 Å, 2θ = 44.54°, rel. 34.3
d = 1.999 Å, 2θ = 45.37°, rel. 38.2
d = 1.951 Å, 2θ = 46.55°, rel. 38.0

Cell and atoms:
a b c (Å): 6.9376 6.9376 20.6636
angles (deg): 90.00 90.00 146.51
Positions (direct):
Pm1 0.1530 0.8470 0.7500
Pm2 0.8470 0.1530 0.2500
Er1 0.0906 0.9094 0.1259
Er2 0.0906 0.9094 0.3741
Er3 0.3598 0.6402 0.0379
Er4 0.3598 0.6402 0.4621
Er5 0.6402 0.3598 0.5379
Er6 0.6402 0.3598 0.9621
Er7 0.9094 0.0906 0.6259
Er8 0.9094 0.0906 0.8741
Se1 0.0000 0.0000 0.0000
Se2 0.0000 0.0000 0.5000
Se3 0.1836 0.8164 0.2500
Se4 0.2678 0.7322 0.5901
Se5 0.2678 0.7322 0.9099
Se6 0.4505 0.5495 0.1642
Se7 0.4505 0.5495 0.3358
Se8 0.5495 0.4505 0.6642
Se9 0.5495 0.4505 0.8358
Se10 0.7322 0.2678 0.0901
Se11 0.7322 0.2678 0.4099
Se12 0.8164 0.1836 0.7500


Calculated powder X-ray diffraction pattern
Compound: Fe7Rh
Radiation: Cu Kα, 1.54184 Å
Structure: a cell relaxed with GGA-PBE
Intensities are scaled so that the largest is 100.

The 10 most intense peaks (2θ from 10° to 90°), sorted by position:
d = 5.787 Å, 2θ = 15.31°, rel. 3.2
d = 4.087 Å, 2θ = 21.74°, rel. 5.4
d = 3.342 Å, 2θ = 26.67°, rel. 2.2
d = 2.589 Å, 2θ = 34.65°, rel. 5.3
d = 2.049 Å, 2θ = 44.21°, rel. 100.0
d = 2.044 Å, 2θ = 44.32°, rel. 99.5
d = 1.929 Å, 2θ = 47.12°, rel. 1.8
d = 1.447 Å, 2θ = 64.39°, rel. 29.8
d = 1.184 Å, 2θ = 81.27°, rel. 14.4
d = 1.181 Å, 2θ = 81.54°, rel. 43.5

Cell and atoms:
a b c (Å): 5.7874 5.7874 5.7874
angles (deg): 89.86 89.86 89.86
Positions (direct):
Fe1 0.1214 0.1214 0.1214
Fe2 0.1210 0.1210 0.6290
Fe3 0.1210 0.6290 0.1210
Fe4 0.1230 0.6279 0.6279
Fe5 0.3710 0.8790 0.8790
Fe6 0.3721 0.3721 0.8770
Fe7 0.3721 0.8770 0.3721
Fe8 0.6279 0.1230 0.6279
Fe9 0.6279 0.6279 0.1230
Fe10 0.6290 0.1210 0.1210
Fe11 0.8770 0.3721 0.3721
Fe12 0.8790 0.3710 0.8790
Fe13 0.8790 0.8790 0.3710
Fe14 0.8786 0.8786 0.8786
Rh1 0.3697 0.3697 0.3697
Rh2 0.6303 0.6303 0.6303


Calculated powder X-ray diffraction pattern
Compound: Rb2NpCuCl6
Radiation: Cu Kα, 1.54184 Å
Structure: a cell relaxed with GGA-PBE
Intensities are scaled so that the largest is 100.

The 10 most intense peaks (2θ from 10° to 90°), sorted by position:
d = 6.130 Å, 2θ = 14.45°, rel. 100.0
d = 4.332 Å, 2θ = 20.50°, rel. 61.6
d = 3.852 Å, 2θ = 23.09°, rel. 81.4
d = 3.750 Å, 2θ = 23.73°, rel. 74.8
d = 3.664 Å, 2θ = 24.29°, rel. 56.0
d = 3.643 Å, 2θ = 24.43°, rel. 58.9
d = 3.442 Å, 2θ = 25.89°, rel. 51.3
d = 2.979 Å, 2θ = 30.00°, rel. 45.3
d = 2.788 Å, 2θ = 32.10°, rel. 61.4
d = 2.341 Å, 2θ = 38.46°, rel. 49.5

Cell and atoms:
a b c (Å): 7.0133 7.5467 7.6533
angles (deg): 110.12 100.39 115.98
Positions (direct):
Rb1 0.0000 0.0000 0.0000
Rb2 0.4612 0.8599 0.3814
Np1 0.2398 0.4271 0.6992
Cu1 0.7863 0.5804 0.3375
Cl1 0.0517 0.9679 0.4374
Cl2 0.4001 0.8597 0.9374
Cl3 0.4954 0.4452 0.0333
Cl4 0.5964 0.5543 0.5646
Cl5 0.8805 0.2845 0.8026
Cl6 0.9923 0.4171 0.3649


Calculated powder X-ray diffraction pattern
Compound: Nd2DyY4Er2
Radiation: Cu Kα, 1.54184 Å
Structure: a cell relaxed with GGA-PBE
Intensities are scaled so that the largest is 100.

The 10 most intense peaks (2θ from 10° to 90°), sorted by position:
d = 8.162 Å, 2θ = 10.84°, rel. 13.2
d = 2.995 Å, 2θ = 29.83°, rel. 39.1
d = 2.847 Å, 2θ = 31.42°, rel. 56.3
d = 2.833 Å, 2θ = 31.58°, rel. 100.0
d = 2.789 Å, 2θ = 32.09°, rel. 46.2
d = 2.778 Å, 2θ = 32.22°, rel. 49.9
d = 2.720 Å, 2θ = 32.93°, rel. 14.0
d = 2.105 Å, 2θ = 42.97°, rel. 14.5
d = 2.026 Å, 2θ = 44.74°, rel. 13.7
d = 1.916 Å, 2θ = 47.46°, rel. 18.2

Cell and atoms:
a b c (Å): 5.9953 6.6266 8.6568
angles (deg): 80.58 70.60 65.19
Positions (direct):
Nd1 0.2293 0.3192 0.3441
Nd2 0.7707 0.6808 0.6559
Dy1 0.5000 0.0000 0.0000
Y1 0.1144 0.1296 0.7603
Y2 0.2448 0.5762 0.8856
Y3 0.7552 0.4238 0.1144
Y4 0.8856 0.8704 0.2397
Er1 0.3223 0.7664 0.4458
Er2 0.6777 0.2336 0.5542


Calculated powder X-ray diffraction pattern
Compound: La9ScIn2
Radiation: Cu Kα, 1.54184 Å
Structure: a cell relaxed with GGA-PBE
Intensities are scaled so that the largest is 100.

The 10 most intense peaks (2θ from 10° to 90°), sorted by position:
d = 2.937 Å, 2θ = 30.44°, rel. 100.0
d = 2.557 Å, 2θ = 35.09°, rel. 17.0
d = 2.536 Å, 2θ = 35.39°, rel. 33.4
d = 1.801 Å, 2θ = 50.69°, rel. 23.7
d = 1.794 Å, 2θ = 50.91°, rel. 11.8
d = 1.540 Å, 2θ = 60.09°, rel. 14.1
d = 1.531 Å, 2θ = 60.48°, rel. 27.8
d = 1.468 Å, 2θ = 63.34°, rel. 12.1
d = 1.168 Å, 2θ = 82.58°, rel. 11.4
d = 1.164 Å, 2θ = 82.93°, rel. 5.7

Cell and atoms:
a b c (Å): 5.0728 5.0728 15.3425
angles (deg): 90.00 90.00 90.00
Positions (direct):
La1 0.0000 0.0000 0.0000
La2 0.0000 0.0000 0.3336
La3 0.0000 0.0000 0.6664
La4 0.0000 0.5000 0.1681
La5 0.0000 0.5000 0.5000
La6 0.0000 0.5000 0.8319
La7 0.5000 0.0000 0.1681
La8 0.5000 0.0000 0.5000
La9 0.5000 0.0000 0.8319
Sc1 0.5000 0.5000 0.0000
In1 0.5000 0.5000 0.3357
In2 0.5000 0.5000 0.6643


Calculated powder X-ray diffraction pattern
Compound: Ba3Hg3Bi
Radiation: Cu Kα, 1.54184 Å
Structure: a cell relaxed with GGA-PBE
Intensities are scaled so that the largest is 100.

The 10 most intense peaks (2θ from 10° to 90°), sorted by position:
d = 4.339 Å, 2θ = 20.47°, rel. 9.7
d = 3.817 Å, 2θ = 23.31°, rel. 18.1
d = 2.946 Å, 2θ = 30.34°, rel. 100.0
d = 2.914 Å, 2θ = 30.68°, rel. 16.2
d = 2.766 Å, 2θ = 32.36°, rel. 27.8
d = 2.675 Å, 2θ = 33.50°, rel. 10.2
d = 2.169 Å, 2θ = 41.64°, rel. 14.9
d = 1.707 Å, 2θ = 53.69°, rel. 11.1
d = 1.688 Å, 2θ = 54.34°, rel. 11.3
d = 1.630 Å, 2θ = 56.46°, rel. 11.5

Cell and atoms:
a b c (Å): 8.0365 8.0365 8.6770
angles (deg): 90.00 90.00 92.96
Positions (direct):
Ba1 0.0000 0.0000 0.2451
Ba2 0.0000 0.0000 0.7549
Ba3 0.0000 0.5000 0.2533
Ba4 0.0000 0.5000 0.7467
Ba5 0.5000 0.0000 0.2533
Ba6 0.5000 0.0000 0.7467
Hg1 0.2629 0.2629 0.5000
Hg2 0.2930 0.2930 0.0000
Hg3 0.3460 0.6540 0.5000
Hg4 0.6540 0.3460 0.5000
Hg5 0.7070 0.7070 0.0000
Hg6 0.7371 0.7371 0.5000
Bi1 0.2540 0.7460 0.0000
Bi2 0.7460 0.2540 0.0000